Diffraction record for Sm4Ga16Co3. The powder X-ray diffraction pattern is calculated, not measured: it uses DFT lattice parameters and positions (GGA-PBE) and Cu Kα (λ = 1.5418 Å).

Principal peaks in the range 10° ≤ 2θ ≤ 90°, low angle first:
| 2θ/deg | d [Å] | I_rel |
| --- | --- | --- |
| 31.65 | 2.827 | 22.0 |
| 33.47 | 2.677 | 57.9 |
| 38.08 | 2.363 | 100.0 |
| 40.08 | 2.250 | 30.1 |
| 41.97 | 2.153 | 73.6 |
| 43.83 | 2.066 | 18.3 |
| 59.43 | 1.555 | 35.3 |
| 60.86 | 1.522 | 22.8 |
| 74.09 | 1.280 | 24.3 |
| 75.40 | 1.261 | 16.5 |

Structural model:
Cell lengths 6.088, 6.088, 11.248 Å; angles 90.00, 90.00, 90.00 degrees
Positions (direct):
1 Sm 0.000 0.500 0.195
2 Sm 0.000 0.500 0.805
3 Sm 0.500 0.000 0.195
4 Sm 0.500 0.000 0.805
5 Ga 0.000 0.000 0.195
6 Ga 0.000 0.000 0.805
7 Ga 0.220 0.220 0.000
8 Ga 0.220 0.780 0.000
9 Ga 0.250 0.250 0.386
10 Ga 0.250 0.250 0.614
11 Ga 0.250 0.750 0.386
12 Ga 0.250 0.750 0.614
13 Ga 0.500 0.500 0.219
14 Ga 0.500 0.500 0.781
15 Ga 0.750 0.250 0.386
16 Ga 0.750 0.250 0.614
17 Ga 0.750 0.750 0.386
18 Ga 0.750 0.750 0.614
19 Ga 0.780 0.220 0.000
20 Ga 0.780 0.780 0.000
21 Co 0.000 0.500 0.500
22 Co 0.500 0.000 0.500
23 Co 0.500 0.500 0.000

Diffraction record for SmGa4Co. The powder X-ray diffraction pattern is calculated, not measured: it uses DFT lattice parameters and positions (GGA-PBE) and Cu Kα (λ = 1.5418 Å).

Principal peaks in the range 10° ≤ 2θ ≤ 90°, low angle first:
| 2θ/deg | d [Å] | I_rel |
| --- | --- | --- |
| 35.56 | 2.525 | 100.0 |
| 35.80 | 2.508 | 21.7 |
| 35.92 | 2.500 | 63.2 |
| 37.00 | 2.430 | 31.7 |
| 38.56 | 2.335 | 29.7 |
| 39.19 | 2.299 | 16.5 |
| 43.85 | 2.065 | 38.3 |
| 44.38 | 2.041 | 24.8 |
| 58.70 | 1.573 | 20.6 |
| 64.16 | 1.452 | 15.9 |

Structural model:
Cell lengths 8.122, 8.122, 6.518 Å; angles 90.00, 90.00, 150.55 degrees
Positions (direct):
1 Sm 0.117 0.883 0.750
2 Sm 0.883 0.117 0.250
3 Ga 0.075 0.925 0.250
4 Ga 0.310 0.690 0.552
5 Ga 0.310 0.690 0.948
6 Ga 0.500 0.500 0.000
7 Ga 0.500 0.500 0.500
8 Ga 0.690 0.310 0.052
9 Ga 0.690 0.310 0.448
10 Ga 0.925 0.075 0.750
11 Co 0.223 0.777 0.250
12 Co 0.777 0.223 0.750

Diffraction record for SmGaCo2. The powder X-ray diffraction pattern is calculated, not measured: it uses DFT lattice parameters and positions (GGA-PBE) and Cu Kα (λ = 1.5418 Å).

Principal peaks in the range 10° ≤ 2θ ≤ 90°, low angle first:
| 2θ/deg | d [Å] | I_rel |
| --- | --- | --- |
| 29.23 | 3.055 | 12.8 |
| 33.57 | 2.669 | 64.6 |
| 34.06 | 2.632 | 48.4 |
| 39.54 | 2.279 | 14.4 |
| 39.93 | 2.258 | 38.0 |
| 40.69 | 2.217 | 100.0 |
| 42.97 | 2.105 | 18.2 |
| 60.66 | 1.527 | 26.8 |
| 65.45 | 1.426 | 45.4 |
| 71.72 | 1.316 | 22.5 |

Structural model:
Cell lengths 5.264, 5.264, 16.464 Å; angles 90.00, 90.00, 120.00 degrees
Positions (direct):
1 Sm 0.333 0.667 0.038
2 Sm 0.333 0.667 0.244
3 Sm 0.333 0.667 0.469
4 Sm 0.667 0.333 0.531
5 Sm 0.667 0.333 0.756
6 Sm 0.667 0.333 0.962
7 Ga 0.166 0.331 0.635
8 Ga 0.166 0.834 0.635
9 Ga 0.331 0.166 0.365
10 Ga 0.669 0.834 0.635
11 Ga 0.834 0.166 0.365
12 Ga 0.834 0.669 0.365
13 Co 0.000 0.000 0.000
14 Co 0.000 0.000 0.240
15 Co 0.000 0.000 0.500
16 Co 0.000 0.000 0.760
17 Co 0.162 0.324 0.875
18 Co 0.162 0.838 0.875
19 Co 0.324 0.162 0.125
20 Co 0.333 0.667 0.765
21 Co 0.667 0.333 0.235
22 Co 0.676 0.838 0.875
23 Co 0.838 0.162 0.125
24 Co 0.838 0.676 0.125

Diffraction record for SmGaCo. The powder X-ray diffraction pattern is calculated, not measured: it uses DFT lattice parameters and positions (GGA-PBE) and Cu Kα (λ = 1.5418 Å).

Principal peaks in the range 10° ≤ 2θ ≤ 90°, low angle first:
| 2θ/deg | d [Å] | I_rel |
| --- | --- | --- |
| 24.26 | 3.668 | 14.5 |
| 33.28 | 2.692 | 19.1 |
| 34.73 | 2.583 | 100.0 |
| 35.85 | 2.505 | 24.4 |
| 36.14 | 2.485 | 24.6 |
| 40.96 | 2.203 | 25.2 |
| 41.26 | 2.188 | 14.0 |
| 43.54 | 2.079 | 26.3 |
| 57.63 | 1.600 | 12.6 |
| 69.09 | 1.360 | 12.2 |

Structural model:
Cell lengths 10.074, 4.157, 7.031 Å; angles 90.00, 129.30, 90.00 degrees
Positions (direct):
1 Sm 0.062 0.000 0.310
2 Sm 0.438 0.500 0.690
3 Sm 0.562 0.500 0.310
4 Sm 0.938 0.000 0.690
5 Ga 0.186 0.500 0.098
6 Ga 0.314 0.000 0.902
7 Ga 0.686 0.000 0.098
8 Ga 0.814 0.500 0.902
9 Co 0.139 0.500 0.689
10 Co 0.361 0.000 0.311
11 Co 0.639 0.000 0.689
12 Co 0.861 0.500 0.311

Diffraction record for SmGaCo. The powder X-ray diffraction pattern is calculated, not measured: it uses DFT lattice parameters and positions (GGA-PBE) and Cu Kα (λ = 1.5418 Å).

Principal peaks in the range 10° ≤ 2θ ≤ 90°, low angle first:
| 2θ/deg | d [Å] | I_rel |
| --- | --- | --- |
| 25.54 | 3.488 | 45.9 |
| 26.79 | 3.328 | 100.0 |
| 31.11 | 2.874 | 27.6 |
| 32.21 | 2.779 | 33.8 |
| 33.24 | 2.695 | 53.9 |
| 35.76 | 2.511 | 32.0 |
| 41.10 | 2.196 | 94.6 |
| 42.04 | 2.149 | 47.9 |
| 43.56 | 2.078 | 42.5 |
| 63.03 | 1.475 | 21.2 |

Structural model:
Cell lengths 7.961, 4.155, 7.762 Å; angles 90.00, 90.00, 90.00 degrees
Positions (direct):
1 Sm 0.212 0.250 0.074
2 Sm 0.288 0.750 0.574
3 Sm 0.712 0.250 0.426
4 Sm 0.788 0.750 0.926
5 Ga 0.002 0.750 0.271
6 Ga 0.498 0.250 0.771
7 Ga 0.502 0.750 0.229
8 Ga 0.998 0.250 0.729
9 Co 0.047 0.250 0.427
10 Co 0.453 0.750 0.927
11 Co 0.547 0.250 0.073
12 Co 0.953 0.750 0.573

Diffraction record for Sm2GaCo2. The powder X-ray diffraction pattern is calculated, not measured: it uses DFT lattice parameters and positions (GGA-PBE) and Cu Kα (λ = 1.5418 Å).

Principal peaks in the range 10° ≤ 2θ ≤ 90°, low angle first:
| 2θ/deg | d [Å] | I_rel |
| --- | --- | --- |
| 27.10 | 3.290 | 28.1 |
| 32.53 | 2.753 | 15.3 |
| 34.33 | 2.612 | 100.0 |
| 35.33 | 2.541 | 25.3 |
| 38.32 | 2.349 | 21.0 |
| 38.86 | 2.318 | 24.0 |
| 40.85 | 2.209 | 34.1 |
| 44.13 | 2.052 | 23.8 |
| 60.23 | 1.536 | 13.0 |
| 68.29 | 1.374 | 23.3 |

Structural model:
Cell lengths 4.104, 5.505, 8.591 Å; angles 90.00, 90.00, 90.00 degrees
Positions (direct):
1 Sm 0.000 0.000 0.206
2 Sm 0.000 0.000 0.794
3 Sm 0.500 0.500 0.294
4 Sm 0.500 0.500 0.706
5 Ga 0.000 0.500 0.000
6 Ga 0.500 0.000 0.500
7 Co 0.000 0.286 0.500
8 Co 0.000 0.714 0.500
9 Co 0.500 0.214 0.000
10 Co 0.500 0.786 0.000

Diffraction record for Sm2Ga2Co15. The powder X-ray diffraction pattern is calculated, not measured: it uses DFT lattice parameters and positions (GGA-PBE) and Cu Kα (λ = 1.5418 Å).

Principal peaks in the range 10° ≤ 2θ ≤ 90°, low angle first:
| 2θ/deg | d [Å] | I_rel |
| --- | --- | --- |
| 30.44 | 2.937 | 30.1 |
| 37.04 | 2.427 | 49.6 |
| 38.29 | 2.351 | 50.6 |
| 43.04 | 2.102 | 78.2 |
| 43.31 | 2.089 | 100.0 |
| 44.13 | 2.052 | 65.1 |
| 48.67 | 1.871 | 31.1 |
| 62.69 | 1.482 | 25.8 |
| 63.34 | 1.468 | 30.6 |
| 78.89 | 1.213 | 19.8 |

Structural model:
Cell lengths 6.357, 6.357, 6.357 Å; angles 82.79, 82.79, 82.79 degrees
Positions (direct):
1 Sm 0.150 0.150 0.150
2 Sm 0.850 0.850 0.850
3 Ga 0.393 0.393 0.393
4 Ga 0.607 0.607 0.607
5 Co 0.000 0.500 0.500
6 Co 0.151 0.151 0.651
7 Co 0.151 0.651 0.151
8 Co 0.211 0.500 0.789
9 Co 0.211 0.789 0.500
10 Co 0.349 0.849 0.849
11 Co 0.500 0.000 0.500
12 Co 0.500 0.211 0.789
13 Co 0.500 0.500 0.000
14 Co 0.500 0.789 0.211
15 Co 0.651 0.151 0.151
16 Co 0.789 0.211 0.500
17 Co 0.789 0.500 0.211
18 Co 0.849 0.349 0.849
19 Co 0.849 0.849 0.349

Diffraction record for Sm6GaCo2. The powder X-ray diffraction pattern is calculated, not measured: it uses DFT lattice parameters and positions (GGA-PBE) and Cu Kα (λ = 1.5418 Å).

Principal peaks in the range 10° ≤ 2θ ≤ 90°, low angle first:
| 2θ/deg | d [Å] | I_rel |
| --- | --- | --- |
| 25.95 | 3.434 | 22.2 |
| 28.21 | 3.163 | 21.8 |
| 29.86 | 2.992 | 31.7 |
| 31.83 | 2.811 | 96.3 |
| 34.14 | 2.626 | 100.0 |
| 34.61 | 2.591 | 46.8 |
| 35.10 | 2.557 | 23.7 |
| 38.21 | 2.355 | 29.1 |
| 40.42 | 2.231 | 22.4 |
| 59.56 | 1.552 | 28.8 |

Structural model:
Cell lengths 8.444, 8.444, 8.444 Å; angles 112.14, 109.16, 107.15 degrees
Positions (direct):
1 Sm 0.041 0.237 0.804
2 Sm 0.180 0.281 0.461
3 Sm 0.180 0.719 0.899
4 Sm 0.325 0.012 0.687
5 Sm 0.325 0.639 0.313
6 Sm 0.434 0.237 0.196
7 Sm 0.566 0.763 0.804
8 Sm 0.675 0.361 0.687
9 Sm 0.675 0.988 0.313
10 Sm 0.820 0.281 0.101
11 Sm 0.820 0.719 0.539
12 Sm 0.959 0.763 0.196
13 Ga 0.000 0.000 0.000
14 Ga 0.500 0.500 0.000
15 Co 0.113 0.613 0.500
16 Co 0.335 0.000 0.335
17 Co 0.665 0.000 0.665
18 Co 0.887 0.387 0.500

Diffraction record for Sm2Ga8Co. The powder X-ray diffraction pattern is calculated, not measured: it uses DFT lattice parameters and positions (GGA-PBE) and Cu Kα (λ = 1.5418 Å).

Principal peaks in the range 10° ≤ 2θ ≤ 90°, low angle first:
| 2θ/deg | d [Å] | I_rel |
| --- | --- | --- |
| 20.66 | 4.299 | 20.1 |
| 33.50 | 2.675 | 59.0 |
| 38.10 | 2.362 | 100.0 |
| 40.06 | 2.251 | 24.9 |
| 42.03 | 2.150 | 61.9 |
| 59.46 | 1.555 | 30.7 |
| 60.95 | 1.520 | 20.0 |
| 74.19 | 1.278 | 27.1 |
| 74.29 | 1.277 | 13.0 |
| 75.47 | 1.260 | 15.0 |

Structural model:
Cell lengths 4.299, 4.299, 11.254 Å; angles 90.00, 90.00, 90.00 degrees
Positions (direct):
1 Sm 0.000 0.000 0.196
2 Sm 0.000 0.000 0.804
3 Ga 0.000 0.500 0.000
4 Ga 0.000 0.500 0.386
5 Ga 0.000 0.500 0.614
6 Ga 0.500 0.000 0.000
7 Ga 0.500 0.000 0.386
8 Ga 0.500 0.000 0.614
9 Ga 0.500 0.500 0.201
10 Ga 0.500 0.500 0.799
11 Co 0.000 0.000 0.500

Diffraction record for Sm8Ga3Co. The powder X-ray diffraction pattern is calculated, not measured: it uses DFT lattice parameters and positions (GGA-PBE) and Cu Kα (λ = 1.5418 Å).

Principal peaks in the range 10° ≤ 2θ ≤ 90°, low angle first:
| 2θ/deg | d [Å] | I_rel |
| --- | --- | --- |
| 23.60 | 3.770 | 12.9 |
| 29.31 | 3.047 | 34.4 |
| 30.93 | 2.891 | 15.3 |
| 32.55 | 2.751 | 100.0 |
| 34.68 | 2.587 | 77.9 |
| 48.30 | 1.884 | 19.4 |
| 53.74 | 1.706 | 8.3 |
| 60.08 | 1.540 | 12.3 |
| 60.80 | 1.523 | 9.3 |
| 64.45 | 1.446 | 11.4 |

Structural model:
Cell lengths 10.348, 10.348, 6.973 Å; angles 90.00, 90.00, 120.00 degrees
Positions (direct):
1 Sm 0.000 0.000 0.114
2 Sm 0.000 0.000 0.614
3 Sm 0.071 0.536 0.120
4 Sm 0.172 0.343 0.829
5 Sm 0.172 0.828 0.829
6 Sm 0.333 0.667 0.500
7 Sm 0.343 0.172 0.329
8 Sm 0.464 0.536 0.120
9 Sm 0.464 0.929 0.120
10 Sm 0.536 0.071 0.620
11 Sm 0.536 0.464 0.620
12 Sm 0.657 0.828 0.829
13 Sm 0.667 0.333 0.000
14 Sm 0.828 0.172 0.329
15 Sm 0.828 0.657 0.329
16 Sm 0.929 0.464 0.620
17 Ga 0.164 0.328 0.364
18 Ga 0.164 0.836 0.364
19 Ga 0.328 0.164 0.864
20 Ga 0.672 0.836 0.364
21 Ga 0.836 0.164 0.864
22 Ga 0.836 0.672 0.864
23 Co 0.333 0.667 0.892
24 Co 0.667 0.333 0.392

Diffraction record for TbGaCo4. The powder X-ray diffraction pattern is calculated, not measured: it uses DFT lattice parameters and positions (GGA-PBE) and Cu Kα (λ = 1.5418 Å).

Principal peaks in the range 10° ≤ 2θ ≤ 90°, low angle first:
| 2θ/deg | d [Å] | I_rel |
| --- | --- | --- |
| 30.43 | 2.937 | 54.6 |
| 36.18 | 2.483 | 30.8 |
| 42.02 | 2.150 | 37.2 |
| 42.81 | 2.113 | 100.0 |
| 45.09 | 2.011 | 27.1 |
| 59.13 | 1.563 | 14.4 |
| 61.54 | 1.507 | 14.9 |
| 63.33 | 1.469 | 21.5 |
| 69.64 | 1.350 | 21.3 |
| 76.78 | 1.241 | 15.0 |

Structural model:
Cell lengths 8.600, 8.600, 4.021 Å; angles 90.00, 90.00, 120.00 degrees
Positions (direct):
1 Tb 0.000 0.000 0.000
2 Tb 0.333 0.667 0.000
3 Tb 0.667 0.333 0.000
4 Ga 0.000 0.500 0.500
5 Ga 0.500 0.000 0.500
6 Ga 0.500 0.500 0.500
7 Co 0.000 0.326 0.000
8 Co 0.000 0.674 0.000
9 Co 0.160 0.321 0.500
10 Co 0.160 0.840 0.500
11 Co 0.321 0.160 0.500
12 Co 0.326 0.000 0.000
13 Co 0.326 0.326 0.000
14 Co 0.674 0.000 0.000
15 Co 0.674 0.674 0.000
16 Co 0.679 0.840 0.500
17 Co 0.840 0.160 0.500
18 Co 0.840 0.679 0.500

Diffraction record for Tb2GaCo2. The powder X-ray diffraction pattern is calculated, not measured: it uses DFT lattice parameters and positions (GGA-PBE) and Cu Kα (λ = 1.5418 Å).

Principal peaks in the range 10° ≤ 2θ ≤ 90°, low angle first:
| 2θ/deg | d [Å] | I_rel |
| --- | --- | --- |
| 27.42 | 3.253 | 30.7 |
| 32.80 | 2.730 | 16.3 |
| 34.90 | 2.571 | 100.0 |
| 36.08 | 2.489 | 24.9 |
| 39.14 | 2.301 | 20.6 |
| 39.37 | 2.288 | 24.6 |
| 41.31 | 2.186 | 32.8 |
| 44.76 | 2.025 | 23.6 |
| 61.11 | 1.516 | 13.2 |
| 69.76 | 1.348 | 22.5 |

Structural model:
Cell lengths 4.050, 5.461, 8.391 Å; angles 90.00, 90.00, 90.00 degrees
Positions (direct):
1 Tb 0.000 0.000 0.207
2 Tb 0.000 0.000 0.793
3 Tb 0.500 0.500 0.293
4 Tb 0.500 0.500 0.707
5 Ga 0.000 0.500 0.000
6 Ga 0.500 0.000 0.500
7 Co 0.000 0.286 0.500
8 Co 0.000 0.714 0.500
9 Co 0.500 0.214 0.000
10 Co 0.500 0.786 0.000